Record 1
Theoretical powder diffraction line list of CsAcO3 for Cu Kα, 1.54184 Å, from the GGA-PBE geometry in the Materials Project.
Intensities are scaled so that the largest is 100.

Structural model:
Cell: 4.870 4.870 4.870 Å, 90.00 90.00 90.00°
Atoms (fractional coordinates):
Cs1 0.000 0.000 0.000
Ac1 0.500 0.500 0.500
O1 0.000 0.500 0.500
O2 0.500 0.000 0.500
O3 0.500 0.500 0.000

Most intense lines, 10° ≤ 2θ ≤ 80°, by angle:
Position (°2θ)  I_rel  h k l
18.22  12  1 0 0
25.87  100  1 1 0
36.91  29  2 0 0
41.46  6  2 1 0
45.63  45  2 1 1
53.19  20  2 2 0
56.70  3  3 0 0
60.07  20  3 1 0
66.51  7  2 2 2
72.64  23  3 2 1



Record 2
Theoretical powder diffraction line list of TlP3 for Cu Kα, 1.54184 Å, from the GGA-PBE geometry in the Materials Project.
Intensities are scaled so that the largest is 100.

Structural model:
Cell: 4.315 4.315 17.777 Å, 90.00 90.00 120.00°
Atoms (fractional coordinates):
Tl1 0.000 0.000 0.000
Tl2 0.333 0.667 0.667
Tl3 0.667 0.333 0.333
P1 0.000 0.000 0.384
P2 0.000 0.000 0.507
P3 0.000 0.000 0.851
P4 0.333 0.667 0.051
P5 0.333 0.667 0.174
P6 0.333 0.667 0.518
P7 0.667 0.333 0.184
P8 0.667 0.333 0.718
P9 0.667 0.333 0.841

Most intense lines, 10° ≤ 2θ ≤ 80°, by angle:
Position (°2θ)  I_rel  h k l
14.95  50  0 0 3
24.34  56  1 0 1
25.86  100  0 1 2
30.16  26  0 0 6
31.27  35  1 0 4
34.83  33  0 1 5
41.87  43  1 1 0
44.70  22  1 1 3
47.61  25  0 1 8
52.46  33  1 1 6



Record 3
Theoretical powder diffraction line list of KNaMg14 for Cu Kα, 1.54184 Å, from the GGA-PBE geometry in the Materials Project.
Intensities are scaled so that the largest is 100.

Structural model:
Cell: 6.681 6.681 10.406 Å, 90.00 90.00 120.00°
Atoms (fractional coordinates):
K1 0.000 0.000 0.000
Na1 0.000 0.000 0.500
Mg1 0.002 0.501 0.500
Mg2 0.005 0.502 0.000
Mg3 0.173 0.346 0.257
Mg4 0.173 0.346 0.743
Mg5 0.173 0.827 0.257
Mg6 0.173 0.827 0.743
Mg7 0.498 0.502 0.000
Mg8 0.498 0.995 0.000
Mg9 0.499 0.501 0.500
Mg10 0.499 0.998 0.500
Mg11 0.654 0.827 0.257
Mg12 0.654 0.827 0.743
Mg13 0.667 0.333 0.248
Mg14 0.667 0.333 0.752

Most intense lines, 10° ≤ 2θ ≤ 80°, by angle:
Position (°2θ)  I_rel  h k l
30.91  25  2 0 0
34.48  24  0 0 4
35.50  100  2 0 2
46.97  14  2 0 4
54.97  18  2 2 0
62.43  17  2 0 6
64.41  3  4 0 0
66.53  19  2 2 4
67.17  14  4 0 2
75.15  3  4 0 4